This entry pairs a crystal structure of PaCr2N4 with its simulated powder diffraction line list. Radiation: Cu Kα X-rays. Structure: a DFT-relaxed cell (PBE, Alexandria).

Most intense lines, 15 to 90 degrees two-theta, low angle first:
2θ/deg  I/Imax  (hkl)
18.73  46  1 0 1
26.39  61  2 0 0
32.56  100  2 1 1
32.84  57  1 1 2
42.98  34  1 0 3
50.62  39  3 2 1
50.82  40  3 1 2
54.32  18  4 0 0
68.85  17  2 2 4
71.65  12  4 1 3

Structural model:
```
data_PaCr2N4
_chemical_formula_sum 'Pa4 Cr8 N16'
_cell_length_a 6.755
_cell_length_b 6.755
_cell_length_c 6.644
_cell_angle_alpha 90.00
_cell_angle_beta 90.00
_cell_angle_gamma 90.00
_space_group_name_H-M_alt 'I 41/a m d'
_space_group_IT_number 141
loop_
_space_group_symop_operation_xyz
'x,y,z'
'-x,-y,-z'
'-y+1/4,x+3/4,z+1/4'
'y+1/4,-x+3/4,-z+1/4'
'-x+1/2,-y,z+1/2'
'x+1/2,y,-z+1/2'
'y+1/4,-x+1/4,z+3/4'
'-y+1/4,x+1/4,-z+3/4'
'x,-y,-z'
'-x,y,z'
'-y+1/4,-x+1/4,-z+3/4'
'y+1/4,x+1/4,z+3/4'
'-x+1/2,y,-z+1/2'
'x+1/2,-y,z+1/2'
'y+1/4,x+3/4,-z+1/4'
'-y+1/4,-x+3/4,z+1/4'
'x+1/2,y+1/2,z+1/2'
'-x+1/2,-y+1/2,-z+1/2'
'-y+3/4,x+1/4,z+3/4'
'y+3/4,-x+1/4,-z+3/4'
'-x,-y+1/2,z'
'x,y+1/2,-z'
'y+3/4,-x+3/4,z+1/4'
'-y+3/4,x+3/4,-z+1/4'
'x+1/2,-y+1/2,-z+1/2'
'-x+1/2,y+1/2,z+1/2'
'-y+3/4,-x+3/4,-z+1/4'
'y+3/4,x+3/4,z+1/4'
'-x,y+1/2,-z'
'x,-y+1/2,z'
'y+3/4,x+1/4,-z+3/4'
'-y+3/4,-x+1/4,z+3/4'
loop_
_atom_site_label
_atom_site_fract_x
_atom_site_fract_y
_atom_site_fract_z
Pa1 0.000 0.250 0.375
Cr1 0.000 0.000 0.000
N1 0.000 0.070 0.709
```


This entry pairs a crystal structure of CaZrIO6 with its simulated powder diffraction line list. Radiation: Cu Kα X-rays. Structure: a DFT-relaxed cell (PBE, Alexandria).

Most intense lines, 15 to 90 degrees two-theta, low angle first:
2θ/deg  I/Imax  (hkl)
17.72  66  0 0 2
18.62  28  1 0 0
25.81  100  1 0 2
32.55  51  1 1 0
37.29  54  1 1 2
42.00  24  2 0 2
49.22  63  1 1 4
54.12  24  2 1 2
58.07  23  3 0 0
79.51  13  4 -2 4

Structural model:
```
data_CaZrIO6
_chemical_formula_sum 'Ca2 Zr2 I2 O12'
_cell_length_a 5.5025
_cell_length_b 5.5025
_cell_length_c 10.0114
_cell_angle_alpha 90.00
_cell_angle_beta 90.00
_cell_angle_gamma 120.00
_space_group_name_H-M_alt 'P -3 1 c'
_space_group_IT_number 163
_space_group_name_Hall '-P 3 2c'
loop_
_atom_site_label
_atom_site_fract_x
_atom_site_fract_y
_atom_site_fract_z
Ca1 0.0000 0.0000 0.0000
Zr1 0.3333 0.6667 0.2500
I1 0.3333 0.6667 0.7500
O1 0.0162 0.3738 0.6394
```


This entry pairs a crystal structure of Ac3Au8 with its simulated powder diffraction line list. Radiation: Cu Kα X-rays. Structure: a DFT-relaxed cell (PBE, Alexandria).

Most intense lines, 15 to 90 degrees two-theta, low angle first:
2θ/deg  I/Imax  (hkl)
30.95  52  1 0 7
31.62  100  1 1 4
37.59  41  0 2 0
38.77  54  0 1 11
42.72  14  1 1 10
45.33  25  2 0 0
49.46  29  1 2 7
60.30  21  2 2 0
61.13  37  2 1 11
64.13  14  1 3 4

Structural model:
```
data_Ac3Au8
_chemical_formula_sum 'Ac6 Au16'
_cell_length_a 4.002
_cell_length_b 4.785
_cell_length_c 29.225
_cell_angle_alpha 90.00
_cell_angle_beta 90.00
_cell_angle_gamma 90.00
_space_group_name_H-M_alt 'I m m m'
_space_group_IT_number 71
_space_group_name_Hall '-I 2 2'
loop_
_atom_site_label
_atom_site_fract_x
_atom_site_fract_y
_atom_site_fract_z
Ac1 0.000 0.000 0.000
Ac2 0.000 0.500 0.147
Au1 0.000 0.000 0.259
Au2 0.000 0.000 0.452
Au3 0.000 0.500 0.310
Au4 0.000 0.500 0.404
```


This entry pairs a crystal structure of Th5Bi2Os with its simulated powder diffraction line list. Radiation: Cu Kα X-rays. Structure: a DFT-relaxed cell (PBE, Alexandria).

Most intense lines, 15 to 90 degrees two-theta, low angle first:
2θ/deg  I/Imax  (hkl)
29.79  100  1 2 2
29.99  85  4 0 1
30.57  72  3 2 1
32.22  57  2 2 2
33.03  20  1 0 3
34.20  26  4 2 0
35.26  19  2 0 3
39.19  43  0 4 0
41.90  18  5 2 1
50.13  29  4 4 1

Structural model:
```
data_Th5Bi2Os
_chemical_formula_sum 'Th20 Bi8 Os4'
_cell_length_a 12.769
_cell_length_b 9.194
_cell_length_c 8.327
_cell_angle_alpha 90.00
_cell_angle_beta 90.00
_cell_angle_gamma 90.00
_space_group_name_H-M_alt 'P n m a'
_space_group_IT_number 62
_space_group_name_Hall '-P 2ac 2n'
loop_
_atom_site_label
_atom_site_fract_x
_atom_site_fract_y
_atom_site_fract_z
Th1 0.003 0.250 0.034
Th2 0.059 0.038 0.693
Th3 0.198 0.750 0.388
Th4 0.199 0.250 0.356
Bi1 0.177 0.513 0.084
Os1 0.015 0.750 0.568
```


This entry pairs a crystal structure of La3Pm2Y3 with its simulated powder diffraction line list. Radiation: Cu Kα X-rays. Structure: a DFT-relaxed cell (PBE, Alexandria).

Most intense lines, 15 to 90 degrees two-theta, low angle first:
2θ/deg  I/Imax  (hkl)
28.98  36  1 1 1
29.20  18  4 0 -2
30.10  49  8 0 0
31.85  100  3 1 1
32.04  48  6 0 -2
36.17  20  7 1 -1
49.76  24  3 1 -3
54.57  26  11 1 1
58.91  15  8 2 0
60.07  16  6 2 -2

Structural model:
```
data_La3Pm2Y3
_chemical_formula_sum 'La6 Pm4 Y6'
_cell_length_a 24.566
_cell_length_b 3.692
_cell_length_c 6.332
_cell_angle_alpha 90.00
_cell_angle_beta 104.76
_cell_angle_gamma 90.00
_space_group_name_H-M_alt 'C 1 2/m 1'
_space_group_IT_number 12
_space_group_name_Hall '-C 2y'
loop_
_atom_site_label
_atom_site_fract_x
_atom_site_fract_y
_atom_site_fract_z
La1 0.000 0.000 0.000
La2 0.125 0.000 0.460
Pm1 0.248 0.000 0.246
Y1 0.000 0.500 0.500
Y2 0.125 0.500 0.959
```


This entry pairs a crystal structure of LiTm3Tl2 with its simulated powder diffraction line list. Radiation: Cu Kα X-rays. Structure: a DFT-relaxed cell (PBE, Alexandria).

Most intense lines, 15 to 90 degrees two-theta, low angle first:
2θ/deg  I/Imax  (hkl)
31.68  26  1 1 3
31.96  11  4 0 1
33.01  11  0 0 4
33.84  100  3 1 2
36.62  31  0 2 0
38.70  11  1 1 4
39.75  14  4 1 2
52.68  10  4 0 5
62.85  10  0 1 7
64.16  14  3 3 2

Structural model:
```
data_LiTm3Tl2
_chemical_formula_sum 'Li4 Tm12 Tl8'
_cell_length_a 11.594
_cell_length_b 4.907
_cell_length_c 10.856
_cell_angle_alpha 90.00
_cell_angle_beta 90.00
_cell_angle_gamma 90.00
_space_group_name_H-M_alt 'P n m a'
_space_group_IT_number 62
_space_group_name_Hall '-P 2ac 2n'
loop_
_atom_site_label
_atom_site_fract_x
_atom_site_fract_y
_atom_site_fract_z
Li1 0.139 0.250 0.101
Tm1 0.031 0.250 0.369
Tm2 0.147 0.750 0.894
Tm3 0.189 0.250 0.663
Tl1 0.031 0.750 0.165
Tl2 0.178 0.750 0.443
```